Diffraction record for MnCr8. The powder diffractogram is computed, not measured: it uses DFT lattice parameters and positions (GGA-PBE) and Cu Ka.
Lines closer than 0.1° are merged.

Peak list (4 most intense, 2θ = 5–70°, in order of rising 2θ)
2θ 45.09, I 100; 2θ 45.20, I 50; 2θ 65.49, I 7; 2θ 65.84, I 14

Atomic structure:
abc: 8.5111 8.5111 2.8504
angles: 90.00 90.00 90.00
Space group I4/mmm (No. 139)
Symmetry-distinct sites (fractional):
1 Mn 0.0000 0.0000 0.0000 x2
2 Cr 0.0000 0.3325 0.0000 x8
3 Cr 0.1668 0.1668 0.5000 x8